Simulated powder diffraction line list
Compound: CrPC5Br3O5
Radiation: Cu Kα (weighted mean of Kα1 and Kα2)
Structure: the GGA+U geometry in the Materials Project

Largest 6 diffraction maxima, low angle first, 15° ≤ 2θ ≤ 90°:
hkl 1 0 3, 2θ = 22.8°, I = 60
hkl 1 0 4, 2θ = 28.5°, I = 100
hkl 1 2 1, 2θ = 29.0°, I = 72
hkl 1 0 -4, 2θ = 29.6°, I = 50
hkl 2 -1 0, 2θ = 29.8°, I = 53
hkl 2 -1 1, 2θ = 30.3°, I = 53

Cell and atoms:
```
30
Lattice="6.7938 0.0000 0.0000 0.2676 6.9089 0.0000 0.6804 0.4521 13.8050" Properties=species:S:1:pos:R:3 pbc="T T T"
Cr 1.6946 2.0128 2.3841
Cr 6.0471 5.3482 11.4209
P 2.5028 2.3283 4.5311
P 5.2389 5.0328 9.2739
C 0.8387 4.3670 10.9598
C 0.8731 0.3847 2.9939
C 0.9356 1.7470 0.6581
C 2.5245 3.6282 1.7626
C 3.2880 1.0753 1.8495
C 4.4538 6.2858 11.9555
C 5.2172 3.7328 12.0424
C 6.8061 5.6140 13.1469
C 6.8687 6.9763 10.8111
C 6.9031 2.9940 2.8452
Br 1.1029 1.8431 6.2298
Br 3.1517 4.3811 5.1379
Br 3.4685 6.2650 8.6389
Br 4.2732 1.0961 5.1661
Br 4.5901 2.9799 8.6671
Br 6.6388 5.5180 7.5752
O 0.6285 6.3228 3.3655
O 1.1221 2.0628 13.4250
O 1.8164 3.7891 10.7270
O 3.4783 6.8113 12.2971
O 3.0280 4.5910 1.3572
O 4.7138 2.7700 12.4478
O 4.2634 0.5498 1.5079
O 5.9254 3.5719 3.0779
O 6.6196 5.2982 0.3800
O 7.1133 1.0382 10.4395
```